Record 1
Simulated powder X-ray diffraction pattern of MnWO4 for Cu Kα, from a structure optimized by DFT (PBE+U).
Lines closer than 0.1° are merged.

Main lines, by angle (10 to 90 degrees two-theta):
d 4.883, 2θ = 18.17°, intensity 62, hkl 1 0 0; d 3.852, 2θ = 23.09°, intensity 56, hkl 0 1 1; d 3.750, 2θ = 23.73°, intensity 55, hkl 1 1 0; d 3.056, 2θ = 29.22°, intensity 100, hkl 1 1 -1; d 2.993, 2θ = 29.85°, intensity 94, hkl 1 1 1; d 2.540, 2θ = 35.33°, intensity 37, hkl 0 2 1

Cell and atoms:
```
12
Lattice="4.8854 0.0000 0.0000 0.0000 5.8534 0.0000 -0.1459 0.0000 5.1160" Properties=species:S:1:pos:R:3 pbc="T T T"
Mn -0.0365 1.0160 1.2790
Mn -0.1094 4.8374 3.8370
W 2.3333 1.9197 3.8370
W 2.4062 3.9337 1.2790
O 1.1165 0.7547 3.1053
O 1.1895 5.0987 0.5473
O 1.4084 2.3130 0.3140
O 1.3355 3.5404 2.8720
O 3.4040 2.3130 2.2441
O 3.3311 3.5404 4.8021
O 3.5500 0.7547 4.5688
O 3.6230 5.0987 2.0108
```



Record 2
Simulated powder X-ray diffraction pattern of Sm4MgV4O12 for Cu Kα, from a structure optimized by DFT (PBE+U).
Lines closer than 0.1° are merged.

Main lines, by angle (10 to 90 degrees two-theta):
d 3.914, 2θ = 22.72°, intensity 90, hkl 0 0 2; d 2.928, 2θ = 30.54°, intensity 73, hkl 0 2 0; d 2.903, 2θ = 30.80°, intensity 69, hkl 2 0 0; d 2.871, 2θ = 31.16°, intensity 100, hkl 1 1 -2; d 2.784, 2θ = 32.16°, intensity 78, hkl 1 -1 2; d 2.752, 2θ = 32.53°, intensity 85, hkl -1 1 2

Cell and atoms:
```
21
Lattice="5.8425 0.0000 0.0000 0.6346 5.8555 0.0000 0.2301 0.0928 7.8241" Properties=species:S:1:pos:R:3 pbc="T T T"
Sm 0.0000 0.0000 0.0000
Sm 0.7448 5.1477 3.5549
Sm 3.1189 2.8981 0.1701
Sm 4.1438 2.6439 4.0661
Mg 1.5384 1.3567 4.3291
V 0.5702 2.6867 1.9926
V 0.8433 3.0222 6.1536
V 3.7540 5.7715 2.0329
V 3.9272 5.6697 6.0468
O 0.5311 3.0560 4.0781
O 0.8860 2.0520 0.1215
O 1.8860 4.6035 1.6246
O 2.2259 4.5797 6.6455
O 2.3985 1.7388 2.5339
O 2.7310 1.8450 5.7410
O 3.1901 5.3744 4.0930
O 3.5189 0.4100 0.0988
O 4.8349 3.9502 6.3041
O 4.7250 4.0176 2.0021
O 5.0258 1.0008 2.3916
O 5.5738 0.8501 5.3590
```